Dy7Ho3Tl: calculated XRD peak list (Cu Ka), based on the PBE geometry in Alexandria.
Lines closer than 0.1° are merged.

Structural model:
a b c (Å): 6.9449 6.9449 8.4836
angles (deg): 90.00 90.00 120.00
Space group P3m1 (No. 156)
Unique sites:
Dy 0.0000 0.0000 0.0000 (multiplicity 1)
Dy 0.1635 0.3270 0.3357 (multiplicity 3)
Dy 0.5013 0.0025 0.0103 (multiplicity 3)
Ho 0.3308 0.1654 0.6726 (multiplicity 3)
Tl 0.6667 0.3333 0.3401 (multiplicity 1)

Largest 8 diffraction maxima, in order of rising 2θ, 15 to 90 degrees two-theta:
- d 2.833, I = 100.0, (0 2 1)
- d 2.453, I = 50.8, (2 0 2)
- d 1.735, I = 35.5, (2 2 0)
- d 1.480, I = 31.6, (4 0 1)
- d 1.478, I = 10.6, (2 0 5)
- d 1.417, I = 9.2, (0 4 2)
- d 1.127, I = 9.0, (2 4 1)
- d 1.098, I = 8.5, (4 2 2)